(1)
Starting from a cell relaxed with PBE, the powder X-ray diffraction pattern of AlSi3O8 was simulated for Cu Kα, 1.54184 Å.
Lines closer than 0.1° are merged.

Cell and atoms:
```
data_AlSi3O8
_chemical_formula_sum 'Al2 Si6 O16'
_cell_length_a 7.279
_cell_length_b 8.073
_cell_length_c 8.077
_cell_angle_alpha 114.23
_cell_angle_beta 103.60
_cell_angle_gamma 105.37
_space_group_name_H-M_alt 'P -1'
_space_group_IT_number 2
_space_group_name_Hall '-P 1'
loop_
_atom_site_label
_atom_site_type_symbol
_atom_site_fract_x
_atom_site_fract_y
_atom_site_fract_z
Al1 Al 0.166 0.405 0.175
Si1 Si 0.171 0.175 0.411
Si2 Si 0.276 0.171 0.796
Si3 Si 0.284 0.815 0.180
O1 O 0.080 0.955 0.686
O2 O 0.104 0.712 0.962
O3 O 0.223 0.350 0.361
O4 O 0.237 0.660 0.260
O5 O 0.256 0.265 0.650
O6 O 0.276 0.316 0.004
O7 O 0.281 0.025 0.325
O8 O 0.488 0.134 0.830
```

Main lines, sorted by position (10° ≤ 2θ ≤ 90°):
2θ/deg  Rel. int.
13.1  94
20.5  100
22.7  63
26.3  63
26.5  50
27.6  61



(2)
Starting from a cell relaxed with PBE, the powder X-ray diffraction pattern of Al10Si2O19 was simulated for Cu Kα, 1.54184 Å.
Lines closer than 0.1° are merged.

Cell and atoms:
```
data_Al10Si2O19
_chemical_formula_sum 'Al10 Si2 O19'
_cell_length_a 7.518
_cell_length_b 2.921
_cell_length_c 16.302
_cell_angle_alpha 90.00
_cell_angle_beta 90.93
_cell_angle_gamma 90.00
_space_group_name_H-M_alt 'P 1 m 1'
_space_group_IT_number 6
_space_group_name_Hall 'P -2y'
loop_
_atom_site_label
_atom_site_type_symbol
_atom_site_fract_x
_atom_site_fract_y
_atom_site_fract_z
Al1 Al 0.000 0.000 0.000
Al2 Al 0.005 0.000 0.472
Al3 Al 0.136 0.500 0.838
Al4 Al 0.160 0.500 0.314
Al5 Al 0.304 0.000 0.157
Al6 Al 0.417 0.000 0.451
Al7 Al 0.634 0.500 0.062
Al8 Al 0.690 0.500 0.574
Al9 Al 0.805 0.000 0.741
Al10 Al 0.907 0.000 0.177
Si1 Si 0.313 0.000 0.624
Si2 Si 0.508 0.000 0.889
O1 O 0.012 0.500 0.414
O2 O 0.013 0.000 0.794
O3 O 0.026 0.000 0.269
O4 O 0.063 0.500 0.945
O5 O 0.090 0.000 0.102
O6 O 0.226 0.000 0.529
O7 O 0.257 0.500 0.668
O8 O 0.292 0.000 0.362
O9 O 0.304 0.000 0.850
O10 O 0.306 0.500 0.217
O11 O 0.485 0.000 0.089
O12 O 0.516 0.500 0.942
O13 O 0.528 0.000 0.612
O14 O 0.538 0.500 0.474
O15 O 0.650 0.000 0.819
O16 O 0.770 0.000 0.018
O17 O 0.780 0.500 0.159
O18 O 0.791 0.500 0.681
O19 O 0.826 0.000 0.540
```

Main lines, sorted by position (10° ≤ 2θ ≤ 90°):
2θ/deg  Rel. int.
10.9  63
12.9  100
15.9  98
25.9  58
26.3  81
34.8  66



(3)
Starting from a cell relaxed with PBE, the powder X-ray diffraction pattern of Al3Si2O10 was simulated for Cu Kα, 1.54184 Å.
Lines closer than 0.1° are merged.

Cell and atoms:
```
data_Al3Si2O10
_chemical_formula_sum 'Al3 Si2 O10'
_cell_length_a 4.608
_cell_length_b 4.890
_cell_length_c 7.511
_cell_angle_alpha 102.97
_cell_angle_beta 103.31
_cell_angle_gamma 100.33
_space_group_name_H-M_alt 'P -1'
_space_group_IT_number 2
_space_group_name_Hall '-P 1'
loop_
_atom_site_label
_atom_site_type_symbol
_atom_site_fract_x
_atom_site_fract_y
_atom_site_fract_z
Al1 Al 0.000 0.000 0.000
Al2 Al 0.404 0.204 0.395
Si1 Si 0.057 0.403 0.714
O1 O 0.043 0.287 0.239
O2 O 0.155 0.295 0.905
O3 O 0.234 0.856 0.441
O4 O 0.338 0.451 0.612
O5 O 0.385 0.984 0.147
```

Main lines, sorted by position (10° ≤ 2θ ≤ 90°):
2θ/deg  Rel. int.
12.6  52
20.8  55
27.4  100
27.8  57
32.8  45
35.8  46



(4)
Starting from a cell relaxed with PBE, the powder X-ray diffraction pattern of Al2Si2O9 was simulated for Cu Kα, 1.54184 Å.
Lines closer than 0.1° are merged.

Cell and atoms:
```
data_Al2Si2O9
_chemical_formula_sum 'Al4 Si4 O18'
_cell_length_a 5.323
_cell_length_b 8.110
_cell_length_c 9.169
_cell_angle_alpha 75.70
_cell_angle_beta 89.95
_cell_angle_gamma 73.31
_space_group_name_H-M_alt 'P 1'
_space_group_IT_number 1
_space_group_name_Hall 'P 1'
loop_
_atom_site_label
_atom_site_type_symbol
_atom_site_fract_x
_atom_site_fract_y
_atom_site_fract_z
Al1 Al 0.000 0.000 0.000
Al2 Al 0.024 0.042 0.692
Al3 Al 0.411 0.036 0.152
Al4 Al 0.446 0.070 0.506
Si1 Si 0.151 0.402 0.933
Si2 Si 0.181 0.376 0.269
Si3 Si 0.673 0.396 0.771
Si4 Si 0.677 0.365 0.451
O1 O 0.077 0.874 0.864
O2 O 0.155 0.466 0.090
O3 O 0.204 0.185 0.990
O4 O 0.215 0.189 0.612
O5 O 0.230 0.885 0.165
O6 O 0.292 0.912 0.596
O7 O 0.326 0.153 0.306
O8 O 0.381 0.453 0.831
O9 O 0.389 0.437 0.358
O10 O 0.658 0.464 0.586
O11 O 0.723 0.917 0.092
O12 O 0.734 0.826 0.436
O13 O 0.735 0.092 0.127
O14 O 0.738 0.141 0.527
O15 O 0.808 0.179 0.815
O16 O 0.863 0.490 0.840
O17 O 0.892 0.411 0.334
O18 O 0.977 0.772 0.443
```

Main lines, sorted by position (10° ≤ 2θ ≤ 90°):
2θ/deg  Rel. int.
11.8  100
19.5  34
19.7  31
20.5  26
23.7  29
36.3  23



(5)
Starting from a cell relaxed with PBE, the powder X-ray diffraction pattern of Al2Si4O11 was simulated for Cu Kα, 1.54184 Å.
Lines closer than 0.1° are merged.

Cell and atoms:
```
data_Al2Si4O11
_chemical_formula_sum 'Al2 Si4 O11'
_cell_length_a 5.248
_cell_length_b 5.249
_cell_length_c 10.009
_cell_angle_alpha 80.34
_cell_angle_beta 85.75
_cell_angle_gamma 61.39
_space_group_name_H-M_alt 'P -1'
_space_group_IT_number 2
_space_group_name_Hall '-P 1'
loop_
_atom_site_label
_atom_site_type_symbol
_atom_site_fract_x
_atom_site_fract_y
_atom_site_fract_z
Al1 Al 0.187 0.187 0.000
Si1 Si 0.128 0.430 0.281
Si2 Si 0.482 0.784 0.281
O1 O 0.000 0.000 0.000
O2 O 0.074 0.454 0.118
O3 O 0.192 0.395 0.652
O4 O 0.285 0.083 0.347
O5 O 0.330 0.574 0.307
O6 O 0.491 0.112 0.882
```

Main lines, sorted by position (10° ≤ 2θ ≤ 90°):
2θ/deg  Rel. int.
18.0  30
19.9  100
20.2  40
20.6  31
21.2  50
27.1  57



(6)
Starting from a cell relaxed with PBE, the powder X-ray diffraction pattern of AlSi3O8 was simulated for Cu Kα, 1.54184 Å.
Lines closer than 0.1° are merged.

Cell and atoms:
```
data_AlSi3O8
_chemical_formula_sum 'Al2 Si6 O16'
_cell_length_a 5.206
_cell_length_b 9.058
_cell_length_c 9.187
_cell_angle_alpha 90.00
_cell_angle_beta 90.38
_cell_angle_gamma 90.00
_space_group_name_H-M_alt 'P 1 21 1'
_space_group_IT_number 4
_space_group_name_Hall 'P 2yb'
loop_
_atom_site_label
_atom_site_type_symbol
_atom_site_fract_x
_atom_site_fract_y
_atom_site_fract_z
Al1 Al 0.171 0.000 0.070
Si1 Si 0.219 0.985 0.424
Si2 Si 0.279 0.337 0.437
Si3 Si 0.325 0.354 0.092
O1 O 0.010 0.417 0.476
O2 O 0.112 0.466 0.027
O3 O 0.151 0.963 0.254
O4 O 0.250 0.186 0.054
O5 O 0.253 0.160 0.464
O6 O 0.347 0.371 0.268
O7 O 0.403 0.895 0.981
O8 O 0.488 0.900 0.463
```

Main lines, sorted by position (10° ≤ 2θ ≤ 90°):
2θ/deg  Rel. int.
13.7  34
19.3  68
19.6  100
19.7  90
27.6  15
27.8  13